Al2Fe2Bi2O9: computed powder diffraction line list (a wavelength of 1.5418 Å), based on a PBE+U-relaxed structure.
Kinematic intensities with the Lorentz-polarization factor, no thermal factor.

Structure:
Unit cell a=7.9871 b=8.4087 c=5.8921 alpha=90.00 beta=90.00 gamma=90.00
Space group Pbam (No. 55)
Asymmetric unit:
Al: 0.0000 0.0000 0.2432 [4 per cell]
Fe: 0.1527 0.3325 0.0000 [4 per cell]
Bi: 0.1712 0.6664 0.5000 [4 per cell]
O: 0.0000 0.5000 0.0000 [2 per cell]
O: 0.1258 0.9102 0.0000 [4 per cell]
O: 0.1293 0.1951 0.2577 [8 per cell]
O: 0.1412 0.9278 0.5000 [4 per cell]

Main lines, by angle (2θ from 15° to 90°):
2θ/deg, intensity, h k l
15.0, 486, 0 0 1
23.9, 220, 1 2 0
28.4, 1000, 1 2 1
29.0, 885, 2 1 1
30.3, 320, 0 0 2
39.5, 225, 2 1 2
47.1, 160, 3 3 0
47.3, 301, 1 4 1
49.4, 217, 4 1 1
52.7, 177, 1 2 3
53.1, 176, 2 1 3
57.0, 352, 3 3 2